For Tb3Tl2In2, a cell relaxed with GGA-PBE gives the computed powder X-ray diffraction pattern in this record (Cu Kα, 1.54184 Å).
Peak positions follow from Bragg's law for the DFT cell and can differ from measured ones.

Atomic structure:
Cell lengths 3.7238, 4.8855, 21.1105 Å; angles 90.00, 90.00, 90.00 degrees
Space group Immm (No. 71)
One atom of each set of equivalent atoms:
Tb: 0.0000 0.0000 0.0000 [2 per cell]
Tb: 0.0000 0.5000 0.1962 [4 per cell]
Tl: 0.0000 0.5000 0.3483 [4 per cell]
In: 0.0000 0.0000 0.4326 [4 per cell]

Peak list (6 most intense, 10 to 80 degrees two-theta, low angle first)
- 2θ = 31.4°, d = 2.851 Å, I 100
- 2θ = 32.0°, d = 2.793 Å, I 32
- 2θ = 35.0°, d = 2.566 Å, I 75
- 2θ = 36.8°, d = 2.443 Å, I 42
- 2θ = 39.8°, d = 2.266 Å, I 29
- 2θ = 61.5°, d = 1.507 Å, I 33

---

For Tb5Tl8In, a cell relaxed with GGA-PBE gives the computed powder X-ray diffraction pattern in this record (Cu Kα, 1.54184 Å).
Peak positions follow from Bragg's law for the DFT cell and can differ from measured ones.

Atomic structure:
Cell lengths 9.4452, 9.4452, 9.0805 Å; angles 90.00, 90.00, 90.00 degrees
Space group I-4 (No. 82)
One atom of each set of equivalent atoms:
Tb: 0.0000 0.0000 0.0000 [2 per cell]
Tb: 0.1167 0.7195 0.6371 [8 per cell]
Tl: 0.0642 0.8355 0.3060 [8 per cell]
Tl: 0.0993 0.6820 0.9776 [8 per cell]
In: 0.0000 0.5000 0.2500 [2 per cell]

Peak list (6 most intense, 10 to 80 degrees two-theta, low angle first)
- 2θ = 29.9°, d = 2.987 Å, I 100
- 2θ = 30.0°, d = 2.975 Å, I 84
- 2θ = 31.0°, d = 2.882 Å, I 78
- 2θ = 35.7°, d = 2.517 Å, I 66
- 2θ = 36.0°, d = 2.495 Å, I 72
- 2θ = 36.5°, d = 2.460 Å, I 92

---

For Tb4Tl2In, a cell relaxed with GGA-PBE gives the computed powder X-ray diffraction pattern in this record (Cu Kα, 1.54184 Å).
Peak positions follow from Bragg's law for the DFT cell and can differ from measured ones.

Atomic structure:
Cell lengths 5.2809, 5.2809, 25.9701 Å; angles 90.00, 90.00, 120.00 degrees
Space group R-3m (No. 166, hexagonal axes)
One atom of each set of equivalent atoms:
Tb: 0.0000 0.0000 0.1209 [6 per cell]
Tb: 0.0000 0.0000 0.3730 [6 per cell]
Tl: 0.0000 0.0000 0.2525 [6 per cell]
In: 0.0000 0.0000 0.5000 [3 per cell]

Peak list (6 most intense, 10 to 80 degrees two-theta, low angle first)
- 2θ = 20.6°, d = 4.318 Å, I 14
- 2θ = 33.9°, d = 2.644 Å, I 100
- 2θ = 40.0°, d = 2.255 Å, I 6
- 2θ = 48.7°, d = 1.869 Å, I 18
- 2θ = 60.5°, d = 1.530 Å, I 9
- 2θ = 60.7°, d = 1.525 Å, I 28

---

For Tb8Tl3In2, a cell relaxed with GGA-PBE gives the computed powder X-ray diffraction pattern in this record (Cu Kα, 1.54184 Å).
Peak positions follow from Bragg's law for the DFT cell and can differ from measured ones.

Atomic structure:
Cell lengths 9.0283, 15.9563, 5.5395 Å; angles 90.00, 90.00, 90.00 degrees
Space group Cmmm (No. 65)
One atom of each set of equivalent atoms:
Tb: 0.0000 0.1080 0.0000 [4 per cell]
Tb: 0.0000 0.3184 0.0000 [4 per cell]
Tb: 0.2114 0.3820 0.5000 [8 per cell]
Tl: 0.0000 0.0000 0.5000 [2 per cell]
Tl: 0.1809 0.5000 0.0000 [4 per cell]
In: 0.0000 0.2251 0.5000 [4 per cell]

Peak list (6 most intense, 10 to 80 degrees two-theta, low angle first)
- 2θ = 30.2°, d = 2.957 Å, I 32
- 2θ = 32.3°, d = 2.770 Å, I 54
- 2θ = 33.9°, d = 2.644 Å, I 66
- 2θ = 34.1°, d = 2.631 Å, I 100
- 2θ = 44.8°, d = 2.022 Å, I 23
- 2θ = 61.3°, d = 1.512 Å, I 25

---

For Tb8Tm6In, a cell relaxed with GGA-PBE gives the computed powder X-ray diffraction pattern in this record (Cu Kα, 1.54184 Å).
Peak positions follow from Bragg's law for the DFT cell and can differ from measured ones.

Atomic structure:
Cell lengths 9.2740, 9.2740, 6.3131 Å; angles 90.00, 90.00, 120.00 degrees
Space group P-3 (No. 147)
One atom of each set of equivalent atoms:
Tb: 0.0411 0.2702 0.3158 [6 per cell]
Tb: 0.3333 0.6667 0.3130 [2 per cell]
Tm: 0.0954 0.4517 0.8230 [6 per cell]
In: 0.0000 0.0000 0.0000 [1 per cell]

Peak list (6 most intense, 10 to 80 degrees two-theta, low angle first)
- 2θ = 26.3°, d = 3.388 Å, I 13
- 2θ = 28.3°, d = 3.157 Å, I 15
- 2θ = 29.4°, d = 3.036 Å, I 25
- 2θ = 32.7°, d = 2.736 Å, I 100
- 2θ = 34.4°, d = 2.609 Å, I 23
- 2θ = 52.2°, d = 1.753 Å, I 17

---

For Tb4Tm7In, a cell relaxed with GGA-PBE gives the computed powder X-ray diffraction pattern in this record (Cu Kα, 1.54184 Å).
Peak positions follow from Bragg's law for the DFT cell and can differ from measured ones.

Atomic structure:
Cell lengths 11.8375, 5.6017, 11.8020 Å; angles 90.00, 100.88, 90.00 degrees
Space group C2/m (No. 12)
One atom of each set of equivalent atoms:
Tb: 0.0773 0.0000 0.2682 [4 per cell]
Tb: 0.1404 0.5000 0.7825 [4 per cell]
Tm: 0.0000 0.5000 0.5000 [2 per cell]
Tm: 0.1098 0.5000 0.1085 [4 per cell]
Tm: 0.1377 0.0000 0.9713 [4 per cell]
Tm: 0.2492 0.5000 0.3895 [4 per cell]
In: 0.0000 0.0000 0.5000 [2 per cell]

Peak list (6 most intense, 10 to 80 degrees two-theta, low angle first)
- 2θ = 29.8°, d = 2.996 Å, I 60
- 2θ = 30.3°, d = 2.953 Å, I 100
- 2θ = 32.0°, d = 2.801 Å, I 58
- 2θ = 33.2°, d = 2.701 Å, I 39
- 2θ = 33.6°, d = 2.670 Å, I 22
- 2θ = 46.7°, d = 1.944 Å, I 33

---

Repeat the fourth record exactly.
For Tb8Tl3In2, a cell relaxed with GGA-PBE gives the computed powder X-ray diffraction pattern in this record (Cu Kα, 1.54184 Å).
Peak positions follow from Bragg's law for the DFT cell and can differ from measured ones.

Atomic structure:
Cell lengths 9.0283, 15.9563, 5.5395 Å; angles 90.00, 90.00, 90.00 degrees
Space group Cmmm (No. 65)
One atom of each set of equivalent atoms:
Tb: 0.0000 0.1080 0.0000 [4 per cell]
Tb: 0.0000 0.3184 0.0000 [4 per cell]
Tb: 0.2114 0.3820 0.5000 [8 per cell]
Tl: 0.0000 0.0000 0.5000 [2 per cell]
Tl: 0.1809 0.5000 0.0000 [4 per cell]
In: 0.0000 0.2251 0.5000 [4 per cell]

Peak list (6 most intense, 10 to 80 degrees two-theta, low angle first)
- 2θ = 30.2°, d = 2.957 Å, I 32
- 2θ = 32.3°, d = 2.770 Å, I 54
- 2θ = 33.9°, d = 2.644 Å, I 66
- 2θ = 34.1°, d = 2.631 Å, I 100
- 2θ = 44.8°, d = 2.022 Å, I 23
- 2θ = 61.3°, d = 1.512 Å, I 25

---

Repeat the second record exactly.
For Tb5Tl8In, a cell relaxed with GGA-PBE gives the computed powder X-ray diffraction pattern in this record (Cu Kα, 1.54184 Å).
Peak positions follow from Bragg's law for the DFT cell and can differ from measured ones.

Atomic structure:
Cell lengths 9.4452, 9.4452, 9.0805 Å; angles 90.00, 90.00, 90.00 degrees
Space group I-4 (No. 82)
One atom of each set of equivalent atoms:
Tb: 0.0000 0.0000 0.0000 [2 per cell]
Tb: 0.1167 0.7195 0.6371 [8 per cell]
Tl: 0.0642 0.8355 0.3060 [8 per cell]
Tl: 0.0993 0.6820 0.9776 [8 per cell]
In: 0.0000 0.5000 0.2500 [2 per cell]

Peak list (6 most intense, 10 to 80 degrees two-theta, low angle first)
- 2θ = 29.9°, d = 2.987 Å, I 100
- 2θ = 30.0°, d = 2.975 Å, I 84
- 2θ = 31.0°, d = 2.882 Å, I 78
- 2θ = 35.7°, d = 2.517 Å, I 66
- 2θ = 36.0°, d = 2.495 Å, I 72
- 2θ = 36.5°, d = 2.460 Å, I 92